(1)
This entry pairs a crystal structure of Li9Co7O16 with its simulated XRD peak list. Radiation: CuKα. Structure: a DFT-relaxed cell (GGA+U, Alexandria).
Peak positions follow from Bragg's law for the DFT cell and can differ from measured ones.

Crystal structure
```
data_Li9Co7O16
_cell_length_a 4.9831
_cell_length_b 5.0477
_cell_length_c 11.4154
_cell_angle_alpha 90.04
_cell_angle_beta 90.56
_cell_angle_gamma 109.16
_symmetry_space_group_name_H-M 'P 1'
_symmetry_Int_Tables_number 1
_symmetry_space_group_name_Hall 'P 1'
loop_
_atom_site_label
_atom_site_fract_x
_atom_site_fract_y
_atom_site_fract_z
Li1 0.0000 0.0000 0.0000
Li2 0.0000 0.0000 0.5000
Li3 0.0005 0.0006 0.2557
Li4 0.9995 0.9994 0.7443
Li5 0.4954 0.0024 0.3825
Li6 0.4997 0.0012 0.8708
Li7 0.5000 0.5000 0.5000
Li8 0.5003 0.9988 0.1292
Li9 0.5046 0.9976 0.6175
Co1 0.0010 0.4980 0.3774
Co2 0.0011 0.5002 0.1246
Co3 0.4958 0.4965 0.7393
Co4 0.5000 0.5000 0.0000
Co5 0.5042 0.5035 0.2607
Co6 0.9989 0.4998 0.8754
Co7 0.9990 0.5020 0.6226
O1 0.2168 0.7209 0.5004
O2 0.2272 0.7233 0.2507
O3 0.2276 0.7239 0.7524
O4 0.2390 0.2704 0.3708
O5 0.2421 0.7161 0.0006
O6 0.2447 0.2693 0.6312
O7 0.2533 0.2818 0.8835
O8 0.2626 0.2863 0.1194
O9 0.7374 0.7137 0.8806
O10 0.7467 0.7182 0.1165
O11 0.7553 0.7307 0.3688
O12 0.7579 0.2839 0.9994
O13 0.7610 0.7296 0.6292
O14 0.7724 0.2761 0.2476
O15 0.7728 0.2767 0.7493
O16 0.7832 0.2791 0.4996
```

The 10 most intense peaks (2θ = 10–90°), by angle:
| 2θ/deg | intensity |
| --- | --- |
| 18.61 | 100 |
| 36.63 | 26 |
| 37.01 | 12 |
| 44.31 | 51 |
| 44.71 | 25 |
| 48.64 | 8 |
| 64.08 | 7 |
| 64.25 | 7 |
| 64.65 | 7 |
| 65.28 | 7 |



(2)
This entry pairs a crystal structure of SmFeAs2O8 with its simulated XRD peak list. Radiation: CuKα. Structure: a DFT-relaxed cell (GGA+U, Alexandria).
Peak positions follow from Bragg's law for the DFT cell and can differ from measured ones.

Crystal structure
```
data_SmFeAs2O8
_cell_length_a 5.8934
_cell_length_b 5.8934
_cell_length_c 5.8934
_cell_angle_alpha 106.22
_cell_angle_beta 106.22
_cell_angle_gamma 116.19
_symmetry_space_group_name_H-M 'P 1'
_symmetry_Int_Tables_number 1
_symmetry_space_group_name_Hall 'P 1'
loop_
_atom_site_label
_atom_site_fract_x
_atom_site_fract_y
_atom_site_fract_z
Sm1 0.0000 0.0000 0.0000
Fe1 0.2500 0.7500 0.5000
As1 0.5000 0.5000 0.0000
As2 0.7500 0.2500 0.5000
O1 0.3241 0.1349 0.8108
O2 0.3241 0.5133 0.1892
O3 0.3841 0.0589 0.3252
O4 0.4867 0.6759 0.8108
O5 0.7337 0.0589 0.6748
O6 0.8651 0.6759 0.1892
O7 0.9411 0.2663 0.3252
O8 0.9411 0.6159 0.6748
```

The 10 most intense peaks (2θ = 10–90°), by angle:
| 2θ/deg | intensity |
| --- | --- |
| 18.98 | 12 |
| 25.17 | 100 |
| 33.90 | 65 |
| 35.90 | 20 |
| 50.20 | 58 |
| 51.68 | 15 |
| 58.32 | 13 |
| 63.25 | 18 |
| 65.48 | 12 |
| 74.92 | 12 |



Copy entry 1 word for word.
This entry pairs a crystal structure of Li9Co7O16 with its simulated XRD peak list. Radiation: CuKα. Structure: a DFT-relaxed cell (GGA+U, Alexandria).
Peak positions follow from Bragg's law for the DFT cell and can differ from measured ones.

Crystal structure
```
data_Li9Co7O16
_cell_length_a 4.9831
_cell_length_b 5.0477
_cell_length_c 11.4154
_cell_angle_alpha 90.04
_cell_angle_beta 90.56
_cell_angle_gamma 109.16
_symmetry_space_group_name_H-M 'P 1'
_symmetry_Int_Tables_number 1
_symmetry_space_group_name_Hall 'P 1'
loop_
_atom_site_label
_atom_site_fract_x
_atom_site_fract_y
_atom_site_fract_z
Li1 0.0000 0.0000 0.0000
Li2 0.0000 0.0000 0.5000
Li3 0.0005 0.0006 0.2557
Li4 0.9995 0.9994 0.7443
Li5 0.4954 0.0024 0.3825
Li6 0.4997 0.0012 0.8708
Li7 0.5000 0.5000 0.5000
Li8 0.5003 0.9988 0.1292
Li9 0.5046 0.9976 0.6175
Co1 0.0010 0.4980 0.3774
Co2 0.0011 0.5002 0.1246
Co3 0.4958 0.4965 0.7393
Co4 0.5000 0.5000 0.0000
Co5 0.5042 0.5035 0.2607
Co6 0.9989 0.4998 0.8754
Co7 0.9990 0.5020 0.6226
O1 0.2168 0.7209 0.5004
O2 0.2272 0.7233 0.2507
O3 0.2276 0.7239 0.7524
O4 0.2390 0.2704 0.3708
O5 0.2421 0.7161 0.0006
O6 0.2447 0.2693 0.6312
O7 0.2533 0.2818 0.8835
O8 0.2626 0.2863 0.1194
O9 0.7374 0.7137 0.8806
O10 0.7467 0.7182 0.1165
O11 0.7553 0.7307 0.3688
O12 0.7579 0.2839 0.9994
O13 0.7610 0.7296 0.6292
O14 0.7724 0.2761 0.2476
O15 0.7728 0.2767 0.7493
O16 0.7832 0.2791 0.4996
```

The 10 most intense peaks (2θ = 10–90°), by angle:
| 2θ/deg | intensity |
| --- | --- |
| 18.61 | 100 |
| 36.63 | 26 |
| 37.01 | 12 |
| 44.31 | 51 |
| 44.71 | 25 |
| 48.64 | 8 |
| 64.08 | 7 |
| 64.25 | 7 |
| 64.65 | 7 |
| 65.28 | 7 |



What did the first record say?
This entry pairs a crystal structure of Li9Co7O16 with its simulated XRD peak list. Radiation: CuKα. Structure: a DFT-relaxed cell (GGA+U, Alexandria).
Peak positions follow from Bragg's law for the DFT cell and can differ from measured ones.

Crystal structure
```
data_Li9Co7O16
_cell_length_a 4.9831
_cell_length_b 5.0477
_cell_length_c 11.4154
_cell_angle_alpha 90.04
_cell_angle_beta 90.56
_cell_angle_gamma 109.16
_symmetry_space_group_name_H-M 'P 1'
_symmetry_Int_Tables_number 1
_symmetry_space_group_name_Hall 'P 1'
loop_
_atom_site_label
_atom_site_fract_x
_atom_site_fract_y
_atom_site_fract_z
Li1 0.0000 0.0000 0.0000
Li2 0.0000 0.0000 0.5000
Li3 0.0005 0.0006 0.2557
Li4 0.9995 0.9994 0.7443
Li5 0.4954 0.0024 0.3825
Li6 0.4997 0.0012 0.8708
Li7 0.5000 0.5000 0.5000
Li8 0.5003 0.9988 0.1292
Li9 0.5046 0.9976 0.6175
Co1 0.0010 0.4980 0.3774
Co2 0.0011 0.5002 0.1246
Co3 0.4958 0.4965 0.7393
Co4 0.5000 0.5000 0.0000
Co5 0.5042 0.5035 0.2607
Co6 0.9989 0.4998 0.8754
Co7 0.9990 0.5020 0.6226
O1 0.2168 0.7209 0.5004
O2 0.2272 0.7233 0.2507
O3 0.2276 0.7239 0.7524
O4 0.2390 0.2704 0.3708
O5 0.2421 0.7161 0.0006
O6 0.2447 0.2693 0.6312
O7 0.2533 0.2818 0.8835
O8 0.2626 0.2863 0.1194
O9 0.7374 0.7137 0.8806
O10 0.7467 0.7182 0.1165
O11 0.7553 0.7307 0.3688
O12 0.7579 0.2839 0.9994
O13 0.7610 0.7296 0.6292
O14 0.7724 0.2761 0.2476
O15 0.7728 0.2767 0.7493
O16 0.7832 0.2791 0.4996
```

The 10 most intense peaks (2θ = 10–90°), by angle:
| 2θ/deg | intensity |
| --- | --- |
| 18.61 | 100 |
| 36.63 | 26 |
| 37.01 | 12 |
| 44.31 | 51 |
| 44.71 | 25 |
| 48.64 | 8 |
| 64.08 | 7 |
| 64.25 | 7 |
| 64.65 | 7 |
| 65.28 | 7 |